Diffraction record for Ba3TiMoO8. The X-ray powder pattern is theoretical, not measured: it uses DFT lattice parameters and positions (GGA+U) and copper Kα.

```
data_Ba3TiMoO8
_cell_length_a 8.0075
_cell_length_b 8.0075
_cell_length_c 8.0075
_cell_angle_alpha 44.38
_cell_angle_beta 44.38
_cell_angle_gamma 44.38
_space_group_name_H-M_alt 'P 1'
_space_group_IT_number 1
_space_group_name_Hall 'P 1'
loop_
_atom_site_label
_atom_site_fract_x
_atom_site_fract_y
_atom_site_fract_z
Ba1 0.0000 0.0000 0.0000
Ba2 0.1871 0.1871 0.1871
Ba3 0.4044 0.4044 0.4044
Ti1 0.7925 0.7925 0.7925
Mo1 0.6068 0.6068 0.6068
O1 0.4335 0.9268 0.9268
O2 0.4700 0.4700 0.9594
O3 0.4700 0.9594 0.4700
O4 0.5243 0.5243 0.5243
O5 0.8766 0.8766 0.8766
O6 0.9268 0.4335 0.9268
O7 0.9268 0.9268 0.4335
O8 0.9594 0.4700 0.4700
```

Largest 8 diffraction maxima, sorted by position, 2θ from 10° to 90°:
two_theta  d_spacing  I (rel.)
26.7  3.334  100
29.5  3.024  97
40.3  2.240  44
45.4  1.998  27
50.7  1.800  34
52.4  1.746  19
61.3  1.512  17
63.7  1.460  18